1.
Starting from the GGA+U geometry in the Materials Project, the powder diffraction line list of Co3O2F4 was calculated for λ = 1.5418 Å (Cu Kα).

Structural model:
abc: 5.6253 5.6253 6.9841
angles: 105.59 105.59 76.00
Positions (direct):
1 Co 0.0000 0.0000 0.0000
2 Co 0.0000 0.0000 0.5000
3 Co 0.3318 0.3318 0.3399
4 Co 0.3483 0.3483 0.8347
5 Co 0.6517 0.6517 0.1653
6 Co 0.6682 0.6682 0.6601
7 O 0.2476 0.2476 0.5437
8 O 0.4349 0.4349 0.1298
9 O 0.5651 0.5651 0.8702
10 O 0.7524 0.7524 0.4563
11 F 0.0254 0.6401 0.8298
12 F 0.1206 0.1206 0.8073
13 F 0.2994 0.7006 0.5000
14 F 0.3599 0.9746 0.1703
15 F 0.6401 0.0254 0.8298
16 F 0.7006 0.2994 0.5000
17 F 0.8794 0.8794 0.1927
18 F 0.9746 0.3599 0.1703

The 10 most intense peaks (5° ≤ 2θ ≤ 70°), in order of rising 2θ:
25.7°, 3.463 Å, I = 1000; 28.3°, 3.154 Å, I = 858; 34.8°, 2.578 Å, I = 492; 35.1°, 2.557 Å, I = 515; 51.5°, 1.776 Å, I = 334; 51.7°, 1.769 Å, I = 337; 54.2°, 1.693 Å, I = 244; 54.8°, 1.675 Å, I = 250; 67.2°, 1.393 Å, I = 199; 67.8°, 1.382 Å, I = 202

***

2.
Starting from the GGA+U geometry in the Materials Project, the powder diffraction line list of Li9Mn2Co5O16 was calculated for λ = 1.5418 Å (Cu Kα).

Structural model:
abc: 2.9091 5.0924 19.4740
angles: 94.31 90.94 91.40
Positions (direct):
1 Li 0.0000 0.0000 0.0000
2 Li 0.0014 0.4855 0.5177
3 Li 0.0047 0.2703 0.7471
4 Li 0.0064 0.7472 0.2503
5 Li 0.4932 0.9981 0.5093
6 Li 0.5043 0.4940 0.0019
7 Li 0.5061 0.3760 0.6292
8 Li 0.5110 0.2572 0.2500
9 Li 0.5166 0.7574 0.7506
10 Mn 0.0027 0.1258 0.3780
11 Mn 0.0065 0.8773 0.6284
12 Co 0.0059 0.6275 0.8777
13 Co 0.0076 0.3755 0.1282
14 Co 0.5044 0.6253 0.3789
15 Co 0.5042 0.8760 0.1274
16 Co 0.5046 0.1281 0.8773
17 O 0.0019 0.8285 0.4331
18 O 0.0064 0.1642 0.5695
19 O 0.0062 0.5928 0.6868
20 O 0.0069 0.4250 0.3210
21 O 0.0119 0.0723 0.1847
22 O 0.0240 0.9548 0.8213
23 O 0.4713 0.5699 0.1870
24 O 0.4889 0.8031 0.9369
25 O 0.4947 0.9604 0.3218
26 O 0.4984 0.7054 0.5723
27 O 0.5123 0.2895 0.4327
28 O 0.5169 0.0451 0.6829
29 O 0.5252 0.4531 0.8203
30 O 0.5422 0.1851 0.0713
31 O 0.9920 0.3041 0.9364
32 O 0.9966 0.6773 0.0726

The 10 most intense peaks (5° ≤ 2θ ≤ 70°), in order of rising 2θ:
18.3°, 4.854 Å, I = 1000; 35.6°, 2.523 Å, I = 147; 35.9°, 2.502 Å, I = 135; 36.5°, 2.459 Å, I = 128; 42.8°, 2.111 Å, I = 293; 43.6°, 2.075 Å, I = 272; 44.2°, 2.051 Å, I = 266; 62.4°, 1.489 Å, I = 76; 62.7°, 1.481 Å, I = 78; 62.9°, 1.478 Å, I = 76

***

3.
Starting from the GGA+U geometry in the Materials Project, the powder diffraction line list of CaW4O9 was calculated for λ = 1.5418 Å (Cu Kα).

Structural model:
abc: 9.7069 9.7069 3.9778
angles: 90.00 90.00 90.00
Positions (direct):
1 Ca 0.2500 0.2500 0.0884
2 Ca 0.7500 0.7500 0.9116
3 W 0.0394 0.6592 0.4548
4 W 0.1592 0.9606 0.5452
5 W 0.3408 0.5394 0.5452
6 W 0.4606 0.8408 0.4548
7 W 0.5394 0.1592 0.5452
8 W 0.6592 0.4606 0.4548
9 W 0.8408 0.0394 0.4548
10 W 0.9606 0.3408 0.5452
11 O 0.0023 0.3249 0.0369
12 O 0.0276 0.1359 0.5200
13 O 0.1359 0.4724 0.5200
14 O 0.1751 0.0023 0.0369
15 O 0.2500 0.7500 0.5000
16 O 0.3249 0.4977 0.0369
17 O 0.3641 0.0276 0.5200
18 O 0.4724 0.3641 0.5200
19 O 0.4977 0.1751 0.0369
20 O 0.5023 0.8249 0.9631
21 O 0.5276 0.6359 0.4800
22 O 0.6359 0.9724 0.4800
23 O 0.6751 0.5023 0.9631
24 O 0.7500 0.2500 0.5000
25 O 0.8249 0.9977 0.9631
26 O 0.8641 0.5276 0.4800
27 O 0.9724 0.8641 0.4800
28 O 0.9977 0.6751 0.9631

The 10 most intense peaks (5° ≤ 2θ ≤ 70°), in order of rising 2θ:
22.4°, 3.978 Å, I = 661; 25.9°, 3.437 Å, I = 277; 29.1°, 3.070 Å, I = 1000; 37.0°, 2.430 Å, I = 530; 41.6°, 2.171 Å, I = 402; 47.7°, 1.905 Å, I = 400; 55.0°, 1.669 Å, I = 208; 60.3°, 1.535 Å, I = 171; 63.4°, 1.466 Å, I = 156; 65.1°, 1.432 Å, I = 138

***

4.
Starting from the GGA+U geometry in the Materials Project, the powder diffraction line list of Li9Mn2Co5O16 was calculated for λ = 1.5418 Å (Cu Kα).

Structural model:
abc: 2.9429 9.7769 10.1338
angles: 78.05 89.45 88.45
Positions (direct):
1 Li 0.0000 0.0000 0.0000
2 Li 0.0000 0.0000 0.5000
3 Li 0.0059 0.5068 0.2404
4 Li 0.4953 0.7412 0.1249
5 Li 0.4973 0.2497 0.3758
6 Li 0.5000 0.5000 0.0000
7 Li 0.5027 0.7503 0.6242
8 Li 0.5047 0.2588 0.8751
9 Li 0.9941 0.4932 0.7596
10 Mn 0.0049 0.2563 0.1202
11 Mn 0.9951 0.7437 0.8798
12 Co 0.0014 0.2491 0.6256
13 Co 0.4941 0.9986 0.7476
14 Co 0.5000 0.5000 0.5000
15 Co 0.5059 0.0014 0.2524
16 Co 0.9986 0.7509 0.3744
17 O 0.0014 0.3743 0.4459
18 O 0.0041 0.6386 0.0504
19 O 0.0399 0.1222 0.3011
20 O 0.0415 0.1195 0.8030
21 O 0.4821 0.8681 0.9222
22 O 0.4939 0.3577 0.1800
23 O 0.4938 0.8754 0.4258
24 O 0.5003 0.3766 0.6789
25 O 0.4997 0.6234 0.3211
26 O 0.5062 0.1246 0.5742
27 O 0.5061 0.6423 0.8200
28 O 0.5179 0.1319 0.0778
29 O 0.9585 0.8805 0.1970
30 O 0.9601 0.8778 0.6989
31 O 0.9959 0.3614 0.9496
32 O 0.9986 0.6257 0.5541

The 10 most intense peaks (5° ≤ 2θ ≤ 70°), in order of rising 2θ:
8.9°, 9.914 Å, I = 101; 9.2°, 9.562 Å, I = 81; 18.4°, 4.828 Å, I = 1000; 35.4°, 2.535 Å, I = 164; 36.3°, 2.477 Å, I = 132; 36.5°, 2.460 Å, I = 126; 42.6°, 2.120 Å, I = 299; 43.8°, 2.065 Å, I = 272; 44.5°, 2.035 Å, I = 257; 63.2°, 1.470 Å, I = 151

***

5.
Starting from the GGA+U geometry in the Materials Project, the powder diffraction line list of LiMnBO3 was calculated for λ = 1.5418 Å (Cu Kα).

Structural model:
abc: 5.5993 7.6994 7.5043
angles: 90.00 116.89 90.00
Positions (direct):
1 Li 0.1450 0.0616 0.4084
2 Li 0.1450 0.4384 0.9084
3 Li 0.8550 0.5616 0.0916
4 Li 0.8550 0.9384 0.5916
5 Mn 0.4005 0.7494 0.2572
6 Mn 0.4005 0.7506 0.7572
7 Mn 0.5995 0.2494 0.2428
8 Mn 0.5995 0.2506 0.7428
9 B 0.1973 0.1277 0.8058
10 B 0.1973 0.3723 0.3058
11 B 0.8027 0.6277 0.6942
12 B 0.8027 0.8723 0.1942
13 O 0.0566 0.6280 0.7138
14 O 0.0566 0.8720 0.2138
15 O 0.2688 0.0126 0.6934
16 O 0.2688 0.4874 0.1934
17 O 0.3912 0.2502 0.4224
18 O 0.3912 0.2498 0.9224
19 O 0.6088 0.7502 0.0776
20 O 0.6088 0.7498 0.5776
21 O 0.7312 0.5126 0.8066
22 O 0.7312 0.9874 0.3066
23 O 0.9434 0.1280 0.7862
24 O 0.9434 0.3720 0.2862

The 10 most intense peaks (5° ≤ 2θ ≤ 70°), in order of rising 2θ:
17.8°, 4.994 Å, I = 518; 23.1°, 3.850 Å, I = 539; 26.7°, 3.345 Å, I = 1000; 27.1°, 3.294 Å, I = 368; 29.3°, 3.049 Å, I = 690; 35.5°, 2.525 Å, I = 196; 35.7°, 2.513 Å, I = 342; 49.4°, 1.847 Å, I = 204; 50.4°, 1.812 Å, I = 230; 50.8°, 1.796 Å, I = 221

***

6.
Starting from the GGA+U geometry in the Materials Project, the powder diffraction line list of Na3MgCo2SbO6 was calculated for λ = 1.5418 Å (Cu Kα).

Structural model:
abc: 6.0808 6.0967 6.5658
angles: 76.61 62.92 62.57
Positions (direct):
1 Na 0.0000 0.0000 0.0000
2 Na 0.3152 0.4552 0.8801
3 Na 0.6834 0.6969 0.8884
4 Mg 0.3773 0.6143 0.3841
5 Co 0.8084 0.0967 0.5714
6 Co 0.9102 0.5675 0.3890
7 Sb 0.3721 0.0996 0.4562
8 O 0.0852 0.8129 0.6595
9 O 0.1973 0.6451 0.1913
10 O 0.4297 0.0569 0.7412
11 O 0.6247 0.7864 0.2725
12 O 0.6526 0.2489 0.3247
13 O 0.7528 0.4128 0.6595

The 10 most intense peaks (5° ≤ 2θ ≤ 70°), in order of rising 2θ:
15.2°, 5.844 Å, I = 1000; 18.7°, 4.757 Å, I = 260; 22.1°, 4.026 Å, I = 186; 28.5°, 3.129 Å, I = 231; 29.5°, 3.030 Å, I = 167; 33.2°, 2.702 Å, I = 525; 34.5°, 2.601 Å, I = 295; 36.2°, 2.481 Å, I = 162; 37.0°, 2.430 Å, I = 222; 37.9°, 2.372 Å, I = 269

***

7.
Starting from the GGA+U geometry in the Materials Project, the powder diffraction line list of Mo2P3O11 was calculated for λ = 1.5418 Å (Cu Kα).

Structural model:
abc: 7.4850 7.4850 9.1501
angles: 109.57 109.57 71.92
Positions (direct):
1 Mo 0.1144 0.6362 0.9608
2 Mo 0.3638 0.8856 0.5392
3 Mo 0.6362 0.1144 0.4608
4 Mo 0.8856 0.3638 0.0392
5 P 0.0390 0.9610 0.7500
6 P 0.3281 0.4570 0.2865
7 P 0.4570 0.3281 0.7865
8 P 0.5430 0.6719 0.2135
9 P 0.6719 0.5430 0.7135
10 P 0.9610 0.0390 0.2500
11 O 0.0215 0.1367 0.8954
12 O 0.0538 0.7733 0.7931
13 O 0.1367 0.0215 0.3954
14 O 0.1580 0.4660 0.1294
15 O 0.2267 0.9462 0.7069
16 O 0.2577 0.3872 0.8172
17 O 0.2774 0.6252 0.4271
18 O 0.3748 0.7226 0.0729
19 O 0.3872 0.2577 0.3172
20 O 0.4660 0.1580 0.6294
21 O 0.4889 0.5111 0.7500
22 O 0.5111 0.4889 0.2500
23 O 0.5340 0.8420 0.3706
24 O 0.6128 0.7423 0.6828
25 O 0.6252 0.2774 0.9271
26 O 0.7226 0.3748 0.5729
27 O 0.7423 0.6128 0.1828
28 O 0.7733 0.0538 0.2931
29 O 0.8420 0.5340 0.8706
30 O 0.8633 0.9785 0.6046
31 O 0.9462 0.2267 0.2069
32 O 0.9785 0.8633 0.1046

The 10 most intense peaks (5° ≤ 2θ ≤ 70°), in order of rising 2θ:
14.4°, 6.136 Å, I = 995; 18.7°, 4.736 Å, I = 1000; 22.9°, 3.887 Å, I = 187; 24.3°, 3.669 Å, I = 297; 26.8°, 3.324 Å, I = 197; 29.5°, 3.023 Å, I = 739; 32.5°, 2.758 Å, I = 215; 33.0°, 2.716 Å, I = 321; 37.9°, 2.371 Å, I = 224; 51.1°, 1.789 Å, I = 187

***

8.
Starting from the GGA+U geometry in the Materials Project, the powder diffraction line list of CaCoF6 was calculated for λ = 1.5418 Å (Cu Kα).

Structural model:
abc: 5.7495 5.7495 5.7495
angles: 58.01 58.01 58.01
Positions (direct):
1 Ca 0.0000 0.0000 0.0000
2 Co 0.5000 0.5000 0.5000
3 F 0.1844 0.7212 0.3691
4 F 0.2788 0.6309 0.8156
5 F 0.3691 0.1844 0.7212
6 F 0.6309 0.8156 0.2788
7 F 0.7212 0.3690 0.1844
8 F 0.8156 0.2788 0.6309

The 10 most intense peaks (5° ≤ 2θ ≤ 70°), in order of rising 2θ:
19.4°, 4.574 Å, I = 109; 22.2°, 4.001 Å, I = 1000; 31.1°, 2.872 Å, I = 150; 32.1°, 2.788 Å, I = 69; 37.4°, 2.406 Å, I = 160; 45.3°, 2.000 Å, I = 204; 50.4°, 1.811 Å, I = 259; 51.7°, 1.768 Å, I = 123; 56.6°, 1.625 Å, I = 76; 57.2°, 1.609 Å, I = 73

***

9.
Starting from the GGA+U geometry in the Materials Project, the powder diffraction line list of AlTlFe2F2 was calculated for λ = 1.5418 Å (Cu Kα).

Structural model:
abc: 8.1078 8.1078 5.1587
angles: 91.44 91.44 38.44
Positions (direct):
1 Al 0.0000 0.5000 0.0000
2 Al 0.5000 0.0000 0.5000
3 Tl 0.1400 0.8600 0.7500
4 Tl 0.8600 0.1400 0.2500
5 Fe 0.0398 0.6340 0.4684
6 Fe 0.3660 0.9602 0.0316
7 Fe 0.6340 0.0398 0.9684
8 Fe 0.9602 0.3660 0.5316
9 F 0.2771 0.4404 0.0804
10 F 0.4404 0.2771 0.5804
11 F 0.5596 0.7229 0.4196
12 F 0.7229 0.5596 0.9196

The 10 most intense peaks (5° ≤ 2θ ≤ 70°), in order of rising 2θ:
11.6°, 7.653 Å, I = 785; 17.6°, 5.040 Å, I = 897; 24.1°, 3.688 Å, I = 446; 24.6°, 3.620 Å, I = 1000; 29.5°, 3.028 Å, I = 786; 30.1°, 2.973 Å, I = 416; 35.2°, 2.551 Å, I = 541; 37.1°, 2.424 Å, I = 400; 38.5°, 2.339 Å, I = 584; 39.7°, 2.272 Å, I = 644